# Mg2Nb2TeO8
Theoretical X-ray powder pattern, Cu Kα, 1.54184 Å. Input: a DFT-relaxed cell (GGA-PBE, the Materials Project).
Lines closer than 0.1° are merged.

Main lines, by angle (2θ = 10–80°):
two_theta	d_spacing	intensity
18.13	4.893	98
19.34	4.590	62
24.21	3.676	100
24.92	3.573	93
25.83	3.450	78
29.47	3.031	46
30.79	2.904	47
32.20	2.780	67
34.04	2.634	51
40.23	2.242	46

Structure:
```
data_Mg2Nb2TeO8
_chemical_formula_sum 'Mg4 Nb4 Te2 O16'
_cell_length_a 5.2145
_cell_length_b 6.1674
_cell_length_c 11.4260
_cell_angle_alpha 78.04
_cell_angle_beta 83.82
_cell_angle_gamma 89.79
_symmetry_space_group_name_H-M 'P -1'
_symmetry_Int_Tables_number 2
loop_
_symmetry_equiv_pos_as_xyz
'x,y,z'
'-x,-y,-z'
loop_
_atom_site_label
_atom_site_type_symbol
_atom_site_fract_x
_atom_site_fract_y
_atom_site_fract_z
Mg1 Mg 0.2409 0.1018 0.0328
Mg2 Mg 0.2513 0.6242 0.9550
Nb1 Nb 0.2201 0.5245 0.2200
Nb2 Nb 0.2998 0.1644 0.7603
Te1 Te 0.1754 0.8389 0.5202
O1 O 0.0092 0.7391 0.3094
O2 O 0.0366 0.2757 0.3266
O3 O 0.0567 0.3833 0.8987
O4 O 0.1390 0.9342 0.8955
O5 O 0.3671 0.3588 0.0990
O6 O 0.4268 0.8195 0.1107
O7 O 0.4577 0.0085 0.6508
O8 O 0.4859 0.4602 0.6931
```